Simulated powder diffractogram of FeB2 for Cu Kα, 1.54184 Å, from a structure optimized by DFT (GGA-PBE).
Intensities are scaled so that the largest is 100.

abc: 4.820 4.808 3.742
angles: 90.00 90.00 90.00
Space group Pnma (No. 62)
Inequivalent atoms, fractional coordinates:
Fe: 0.020 0.250 0.124 (multiplicity 4)
B: 0.161 0.069 0.607 (multiplicity 8)

Principal peaks in the range 5 to 70 degrees two-theta, by intensity:
30.3°, I 100, (0 1 1)
48.8°, I 73, (1 2 1)
37.4°, I 53, (2 0 0)
56.1°, I 46, (1 1 2)
53.9°, I 26, (2 2 0)
63.0°, I 10, (3 0 1)
63.1°, I 10, (0 3 1)
41.9°, I 6, (2 1 0)
52.5°, I 3, (1 0 2)
59.7°, I 2, (2 2 1)

---

Simulated powder diffractogram of BeNi3 for Cu Kα, 1.54184 Å, from a structure optimized by DFT (GGA-PBE).
Intensities are scaled so that the largest is 100.

abc: 3.461 3.461 6.704
angles: 90.00 90.00 90.00
Space group I4/mmm (No. 139)
Inequivalent atoms, fractional coordinates:
Be: 0.000 0.000 0.000 (multiplicity 2)
Ni: 0.000 0.000 0.500 (multiplicity 2)
Ni: 0.000 0.500 0.250 (multiplicity 4)

Principal peaks in the range 5 to 70 degrees two-theta, by intensity:
45.9°, I 100, (1 1 2)
52.9°, I 32, (2 0 0)
29.0°, I 31, (1 0 1)
54.8°, I 14, (0 0 4)
26.6°, I 10, (0 0 2)
36.7°, I 8, (1 1 0)
48.5°, I 7, (1 0 3)
61.5°, I 7, (2 1 1)
60.2°, I 4, (2 0 2)
67.8°, I 2, (1 1 4)

---

Simulated powder diffractogram of Li2UO4 for Cu Kα, 1.54184 Å, from a structure optimized by DFT (GGA-PBE).
Intensities are scaled so that the largest is 100.

abc: 4.358 4.358 10.571
angles: 90.00 90.00 90.00
Space group I4/mmm (No. 139)
Inequivalent atoms, fractional coordinates:
Li: 0.000 0.000 0.143 (multiplicity 4)
U: 0.000 0.000 0.500 (multiplicity 2)
O: 0.000 0.000 0.319 (multiplicity 4)
O: 0.000 0.500 0.000 (multiplicity 4)

Principal peaks in the range 5 to 70 degrees two-theta, by intensity:
22.1°, I 100, (1 0 1)
16.8°, I 48, (0 0 2)
32.7°, I 28, (1 0 3)
47.4°, I 27, (2 1 1)
29.0°, I 26, (1 1 0)
33.7°, I 18, (1 1 2)
41.4°, I 16, (2 0 0)
45.0°, I 16, (2 0 2)
47.8°, I 16, (1 0 5)
53.8°, I 15, (2 1 3)

---

Simulated powder diffractogram of Mg2Ta2SnO8 for Cu Kα, 1.54184 Å, from a structure optimized by DFT (GGA-PBE).
Intensities are scaled so that the largest is 100.

abc: 20.868 6.061 5.332
angles: 90.00 92.00 90.00
Space group C2/c (No. 15)
Inequivalent atoms, fractional coordinates:
Mg: 0.229 0.141 0.241 (multiplicity 8)
Ta: 0.127 0.334 0.728 (multiplicity 8)
Sn: 0.000 0.187 0.250 (multiplicity 4)
O: 0.069 0.122 0.615 (multiplicity 8)
O: 0.085 0.413 0.036 (multiplicity 8)
O: 0.191 0.390 0.444 (multiplicity 8)
O: 0.197 0.147 0.873 (multiplicity 8)

Principal peaks in the range 5 to 70 degrees two-theta, by intensity:
25.4°, I 100, (3 1 -1)
26.0°, I 91, (3 1 1)
31.4°, I 59, (5 1 1)
34.0°, I 53, (0 2 1)
19.4°, I 48, (3 1 0)
30.5°, I 43, (5 1 -1)
17.0°, I 41, (4 0 0)
33.6°, I 40, (0 0 2)
49.6°, I 30, (8 2 1)
34.4°, I 28, (8 0 0)

---

Simulated powder diffractogram of Mg6NbCr for Cu Kα, 1.54184 Å, from a structure optimized by DFT (GGA-PBE).
Intensities are scaled so that the largest is 100.

abc: 4.830 6.066 11.085
angles: 90.00 90.00 90.00
Space group Amm2 (No. 38)
Inequivalent atoms, fractional coordinates:
Mg: 0.000 0.000 0.000 (multiplicity 2)
Mg: 0.000 0.240 0.748 (multiplicity 4)
Mg: 0.500 0.000 0.160 (multiplicity 2)
Mg: 0.500 0.243 0.405 (multiplicity 4)
Nb: 0.500 0.000 0.637 (multiplicity 2)
Cr: 0.000 0.000 0.521 (multiplicity 2)

Principal peaks in the range 5 to 70 degrees two-theta, by intensity:
38.6°, I 100, (1 2 2)
37.4°, I 87, (1 0 4)
16.7°, I 78, (0 1 1)
33.7°, I 54, (0 2 2)
37.2°, I 48, (2 0 0)
16.0°, I 34, (0 0 2)
51.1°, I 32, (2 2 2)
33.9°, I 19, (1 1 3)
68.1°, I 17, (3 2 2)
58.5°, I 16, (0 2 6)